1.
# B5C7
Simulated XRD peak list, a wavelength of 1.5418 Å. Input: a structure optimized by DFT (PBE).
No peak broadening, texture or thermal motion is included.

Structure:
Lattice parameters (Å, degrees): 2.6658 2.6658 15.0753 90.00 90.00 120.00
Space group P3m1 (No. 156)
Symmetry-distinct sites (fractional):
B (0.0000, 0.0000, 0.0000) x1
B (0.0000, 0.0000, 0.2909) x1
B (0.0000, 0.0000, 0.5878) x1
B (0.3333, 0.6667, 0.8432) x1
B (0.6667, 0.3333, 0.4507) x1
C (0.0000, 0.0000, 0.7062) x1
C (0.3333, 0.6667, 0.3028) x1
C (0.3333, 0.6667, 0.4058) x1
C (0.3333, 0.6667, 0.7324) x1
C (0.6667, 0.3333, 0.5558) x1
C (0.6667, 0.3333, 0.8838) x1
C (0.6667, 0.3333, 0.9879) x1

Most intense lines, 15° ≤ 2θ ≤ 90°, sorted by position:
d [Å], Rel. int., hkl
5.025, 65, 0 0 3
2.207, 100, 0 1 2
2.154, 50, 0 0 7
2.098, 43, 0 1 3
1.333, 38, 1 1 0
1.133, 26, 1 1 7

2.
# B5C7
Simulated XRD peak list, a wavelength of 1.5418 Å. Input: a structure optimized by DFT (PBE).
No peak broadening, texture or thermal motion is included.

Structure:
Lattice parameters (Å, degrees): 2.6213 2.6213 16.5488 90.00 90.00 120.00
Space group P3m1 (No. 156)
Symmetry-distinct sites (fractional):
B (0.0000, 0.0000, 0.0000) x1
B (0.0000, 0.0000, 0.2828) x1
B (0.3333, 0.6667, 0.7521) x1
B (0.6667, 0.3333, 0.1727) x1
B (0.6667, 0.3333, 0.8640) x1
C (0.0000, 0.0000, 0.5158) x1
C (0.0000, 0.0000, 0.9056) x1
C (0.3333, 0.6667, 0.0451) x1
C (0.3333, 0.6667, 0.1305) x1
C (0.3333, 0.6667, 0.5159) x1
C (0.6667, 0.3333, 0.2726) x1
C (0.6667, 0.3333, 0.7624) x1

Most intense lines, 15° ≤ 2θ ≤ 90°, sorted by position:
d [Å], Rel. int., hkl
5.516, 81, 0 0 3
4.137, 100, 0 0 4
3.310, 39, 0 0 5
2.189, 90, 0 1 2
2.099, 46, 0 1 3
2.069, 33, 0 0 8

3.
# B5C7
Simulated XRD peak list, a wavelength of 1.5418 Å. Input: a structure optimized by DFT (PBE).
No peak broadening, texture or thermal motion is included.

Structure:
Lattice parameters (Å, degrees): 12.2420 2.6249 5.0196 90.00 101.91 90.00
Space group Cm (No. 8)
Symmetry-distinct sites (fractional):
B (0.0000, 0.0000, 0.0000) x2
B (0.0009, 0.0000, 0.4637) x2
B (0.2384, 0.0000, 0.8527) x2
B (0.2393, 0.0000, 0.3469) x2
B (0.3873, 0.5000, 0.6699) x2
C (0.0803, 0.5000, 0.0187) x2
C (0.0823, 0.5000, 0.5226) x2
C (0.1511, 0.5000, 0.8072) x2
C (0.1520, 0.5000, 0.3047) x2
C (0.3233, 0.0000, 0.6424) x2
C (0.3321, 0.0000, 0.1455) x2
C (0.4012, 0.5000, 0.1802) x2

Most intense lines, 15° ≤ 2θ ≤ 90°, sorted by position:
d [Å], Rel. int., hkl
2.995, 13, 4 0 0
2.193, 100, 3 1 0
2.125, 100, 2 0 2
1.343, 53, 7 1 -2
1.312, 14, 0 2 0
1.117, 18, 2 2 2

4.
# B5C7
Simulated XRD peak list, a wavelength of 1.5418 Å. Input: a structure optimized by DFT (PBE).
No peak broadening, texture or thermal motion is included.

Structure:
Lattice parameters (Å, degrees): 12.2581 2.6409 5.1391 90.00 104.09 90.00
Space group Cm (No. 8)
Symmetry-distinct sites (fractional):
B (0.0000, 0.0000, 0.0000) x2
B (0.0109, 0.0000, 0.3983) x2
B (0.1268, 0.0000, 0.2616) x2
B (0.1431, 0.0000, 0.6493) x2
B (0.3651, 0.0000, 0.1085) x2
C (0.2081, 0.5000, 0.2685) x2
C (0.2079, 0.5000, 0.7611) x2
C (0.2704, 0.5000, 0.0516) x2
C (0.2882, 0.5000, 0.5568) x2
C (0.3673, 0.0000, 0.6066) x2
C (0.4398, 0.0000, 0.4093) x2
C (0.4399, 0.0000, 0.8883) x2

Most intense lines, 15° ≤ 2θ ≤ 90°, sorted by position:
d [Å], Rel. int., hkl
2.972, 18, 4 0 0
2.198, 100, 3 1 0
2.190, 44, 4 0 -2
2.122, 45, 2 0 2
1.366, 19, 7 1 -2
1.332, 26, 5 1 2

5.
# BC4
Simulated XRD peak list, a wavelength of 1.5418 Å. Input: a structure optimized by DFT (PBE).
No peak broadening, texture or thermal motion is included.

Structure:
Lattice parameters (Å, degrees): 2.6134 2.6134 35.9230 90.00 90.00 120.00
Space group R-3m (No. 166, hexagonal axes)
Symmetry-distinct sites (fractional):
B (0.0000, 0.0000, 0.0513) x6
C (0.0000, 0.0000, 0.1738) x6
C (0.0000, 0.0000, 0.2169) x6
C (0.0000, 0.0000, 0.3901) x6
C (0.0000, 0.0000, 0.4356) x6

Most intense lines, 15° ≤ 2θ ≤ 90°, sorted by position:
d [Å], Rel. int., hkl
2.159, 100, 0 1 5
2.021, 29, 0 1 8
1.996, 40, 0 0 18
1.307, 34, 1 1 0
1.285, 25, 0 1 23
1.093, 24, 1 1 18

6.
# BC
Simulated XRD peak list, a wavelength of 1.5418 Å. Input: a structure optimized by DFT (PBE).
No peak broadening, texture or thermal motion is included.

Structure:
Lattice parameters (Å, degrees): 2.6008 2.6008 34.4037 90.00 90.00 120.00
Space group R3m (No. 160, hexagonal axes)
Symmetry-distinct sites (fractional):
B (0.0000, 0.0000, 0.0000) x3
B (0.0000, 0.0000, 0.1607) x3
B (0.0000, 0.0000, 0.3622) x3
B (0.0000, 0.0000, 0.5578) x3
B (0.0000, 0.0000, 0.7612) x3
C (0.0000, 0.0000, 0.2073) x3
C (0.0000, 0.0000, 0.4072) x3
C (0.0000, 0.0000, 0.6069) x3
C (0.0000, 0.0000, 0.8071) x3
C (0.0000, 0.0000, 0.9534) x3

Most intense lines, 15° ≤ 2θ ≤ 90°, sorted by position:
d [Å], Rel. int., hkl
2.294, 28, 0 0 15
2.141, 100, 0 1 5
1.367, 25, 0 1 20
1.300, 25, 1 1 0
1.174, 11, 1 0 25
1.131, 11, 1 1 15